The following is a computed powder XRD pattern of TcSb3S4. It was derived from a PBE-relaxed structure, using Cu Kα X-rays.
Peak positions follow from Bragg's law for the DFT cell and can differ from measured ones.

Peak list (6 most intense, 2θ from 10° to 90°, low angle first)
- (0 0 4), 2θ = 23.04°, 3.860 Å, I = 19
- (1 1 2), 2θ = 27.08°, 3.292 Å, I = 100
- (2 0 4), 2θ = 42.20°, 2.141 Å, I = 41
- (1 1 6), 2θ = 43.05°, 2.101 Å, I = 27
- (3 1 2), 2θ = 57.89°, 1.593 Å, I = 22
- (3 1 6), 2θ = 68.16°, 1.376 Å, I = 14

Crystal structure
```
data_TcSb3S4
_chemical_formula_sum 'Tc2 Sb6 S8'
_symmetry_space_group_name_H-M 'I -4 2 m'
_symmetry_Int_Tables_number 121
_symmetry_space_group_name_Hall 'I -4 2'
_cell_length_a 5.148
_cell_length_b 5.148
_cell_length_c 15.441
_cell_angle_alpha 90.00
_cell_angle_beta 90.00
_cell_angle_gamma 90.00
loop_
_atom_site_label
_atom_site_type_symbol
_atom_site_fract_x
_atom_site_fract_y
_atom_site_fract_z
Tc1 Tc 0.000 0.000 0.000
Sb1 Sb 0.000 0.000 0.500
Sb2 Sb 0.000 0.500 0.250
S1 S 0.220 0.220 0.897
```


The following is a computed powder XRD pattern of ScTaS4. It was derived from a PBE-relaxed structure, using Cu Kα X-rays.
Peak positions follow from Bragg's law for the DFT cell and can differ from measured ones.

Peak list (6 most intense, 2θ from 10° to 90°, low angle first)
- (0 2 0), 2θ = 13.45°, 6.581 Å, I = 100
- (0 1 1), 2θ = 16.16°, 5.485 Å, I = 46
- (1 1 1), 2θ = 30.49°, 2.932 Å, I = 40
- (1 3 1), 2θ = 36.21°, 2.481 Å, I = 46
- (0 4 2), 2θ = 40.57°, 2.224 Å, I = 23
- (1 5 1), 2θ = 45.81°, 1.981 Å, I = 27

Crystal structure
```
data_ScTaS4
_chemical_formula_sum 'Sc2 Ta2 S8'
_symmetry_space_group_name_H-M 'A m m 2'
_symmetry_Int_Tables_number 38
_symmetry_space_group_name_Hall 'A 2 -2'
_cell_length_a 3.469
_cell_length_b 13.162
_cell_length_c 6.034
_cell_angle_alpha 90.00
_cell_angle_beta 90.00
_cell_angle_gamma 90.00
loop_
_atom_site_label
_atom_site_type_symbol
_atom_site_fract_x
_atom_site_fract_y
_atom_site_fract_z
Sc1 Sc 0.000 0.000 0.000
Ta1 Ta 0.500 0.000 0.488
S1 S 0.000 0.116 0.648
S2 S 0.500 0.120 0.182
```


The following is a computed powder XRD pattern of Tm2ScS3. It was derived from a PBE-relaxed structure, using Cu Kα X-rays.
Peak positions follow from Bragg's law for the DFT cell and can differ from measured ones.

Peak list (6 most intense, 2θ from 10° to 90°, low angle first)
- (1 0 1), 2θ = 28.87°, 3.093 Å, I = 74
- (0 1 2), 2θ = 33.46°, 2.678 Å, I = 100
- (1 1 0), 2θ = 48.04°, 1.894 Å, I = 70
- (0 2 1), 2θ = 57.02°, 1.615 Å, I = 32
- (2 0 2), 2θ = 59.77°, 1.547 Å, I = 18
- (3 0 0), 2θ = 89.62°, 1.094 Å, I = 19

Crystal structure
```
data_Tm2ScS3
_chemical_formula_sum 'Tm2 Sc1 S3'
_symmetry_space_group_name_H-M 'P -3 m 1'
_symmetry_Int_Tables_number 164
_symmetry_space_group_name_Hall '-P 3 2"'
_cell_length_a 3.7905
_cell_length_b 3.7905
_cell_length_c 9.2659
_cell_angle_alpha 90.00
_cell_angle_beta 90.00
_cell_angle_gamma 120.00
loop_
_atom_site_label
_atom_site_type_symbol
_atom_site_fract_x
_atom_site_fract_y
_atom_site_fract_z
Tm1 Tm 0.3333 0.6667 0.1718
Sc1 Sc 0.0000 0.0000 0.5000
S1 S 0.0000 0.0000 0.0000
S2 S 0.3333 0.6667 0.6576
```


The following is a computed powder XRD pattern of ZrSnSeS3. It was derived from a PBE-relaxed structure, using Cu Kα X-rays.
Peak positions follow from Bragg's law for the DFT cell and can differ from measured ones.

Peak list (6 most intense, 2θ from 10° to 90°, low angle first)
- (0 0 2), 2θ = 13.62°, 6.501 Å, I = 100
- (1 1 1), 2θ = 28.56°, 3.125 Å, I = 27
- (0 2 2), 2θ = 30.67°, 2.915 Å, I = 26
- (1 1 2), 2θ = 31.00°, 2.885 Å, I = 26
- (1 1 3), 2θ = 34.71°, 2.584 Å, I = 51
- (1 1 5), 2θ = 44.80°, 2.023 Å, I = 27

Crystal structure
```
data_ZrSnSeS3
_chemical_formula_sum 'Zr2 Sn2 Se2 S6'
_symmetry_space_group_name_H-M 'P m n 21'
_symmetry_Int_Tables_number 31
_symmetry_space_group_name_Hall 'P 2ac -2'
_cell_length_a 3.701
_cell_length_b 6.526
_cell_length_c 13.001
_cell_angle_alpha 90.00
_cell_angle_beta 90.00
_cell_angle_gamma 90.00
loop_
_atom_site_label
_atom_site_type_symbol
_atom_site_fract_x
_atom_site_fract_y
_atom_site_fract_z
Zr1 Zr 0.000 0.032 0.000
Sn1 Sn 0.000 0.478 0.479
Se1 Se 0.000 0.819 0.362
S1 S 0.000 0.137 0.601
S2 S 0.000 0.375 0.099
S3 S 0.000 0.704 0.876
```


The following is a computed powder XRD pattern of TbSeS. It was derived from a PBE-relaxed structure, using Cu Kα X-rays.
Peak positions follow from Bragg's law for the DFT cell and can differ from measured ones.

Peak list (6 most intense, 2θ from 10° to 90°, low angle first)
- (1 0 -2), 2θ = 24.66°, 3.611 Å, I = 56
- (1 1 0), 2θ = 24.88°, 3.579 Å, I = 53
- (3 0 0), 2θ = 33.12°, 2.705 Å, I = 35
- (1 1 2), 2θ = 33.47°, 2.677 Å, I = 60
- (2 1 -2), 2θ = 38.74°, 2.324 Å, I = 100
- (0 0 4), 2θ = 44.97°, 2.016 Å, I = 25

Crystal structure
```
data_TbSeS
_chemical_formula_sum 'Tb4 Se4 S4'
_symmetry_space_group_name_H-M 'P 1 21/c 1'
_symmetry_Int_Tables_number 14
_symmetry_space_group_name_Hall '-P 2ybc'
_cell_length_a 8.114
_cell_length_b 3.988
_cell_length_c 8.064
_cell_angle_alpha 90.00
_cell_angle_beta 90.10
_cell_angle_gamma 90.00
loop_
_atom_site_label
_atom_site_type_symbol
_atom_site_fract_x
_atom_site_fract_y
_atom_site_fract_z
Tb1 Tb 0.213 0.228 0.374
Se1 Se 0.499 0.705 0.378
S1 S 0.132 0.744 0.125
```


The following is a computed powder XRD pattern of Tc2Se3S. It was derived from a PBE-relaxed structure, using Cu Kα X-rays.
Peak positions follow from Bragg's law for the DFT cell and can differ from measured ones.

Peak list (6 most intense, 2θ from 10° to 90°, low angle first)
- (0 0 2), 2θ = 16.02°, 5.532 Å, I = 32
- (1 1 0), 2θ = 32.43°, 2.761 Å, I = 58
- (2 0 2), 2θ = 38.21°, 2.356 Å, I = 100
- (1 1 -4), 2θ = 43.32°, 2.089 Å, I = 65
- (1 1 -5), 2θ = 49.46°, 1.843 Å, I = 37
- (3 1 -1), 2θ = 53.82°, 1.703 Å, I = 35

Crystal structure
```
data_Tc2Se3S
_chemical_formula_sum 'Tc2 Se3 S1'
_symmetry_space_group_name_H-M 'P 1 m 1'
_symmetry_Int_Tables_number 6
_symmetry_space_group_name_Hall 'P -2y'
_cell_length_a 6.122
_cell_length_b 3.124
_cell_length_c 11.478
_cell_angle_alpha 90.00
_cell_angle_beta 105.44
_cell_angle_gamma 90.00
loop_
_atom_site_label
_atom_site_type_symbol
_atom_site_fract_x
_atom_site_fract_y
_atom_site_fract_z
Tc1 Tc 0.000 0.000 0.000
Tc2 Tc 0.427 0.500 0.000
Se1 Se 0.211 0.000 0.842
Se2 Se 0.711 0.500 0.868
Se3 Se 0.844 0.500 0.133
S1 S 0.360 0.000 0.140
```